Diffraction record for TbY3In2S. The powder XRD pattern is computed, not measured: it uses a cell relaxed with GGA-PBE and copper Kα.
Peak positions follow from Bragg's law for the DFT cell and can differ from measured ones.

Top 12 peaks for 10° ≤ 2θ ≤ 90°, sorted by position:
2θ/deg, I (rel.), hkl
11.1, 27.6, 0 0 2
24.8, 13.7, 1 1 0
27.2, 58.7, 1 1 2
33.1, 25.1, 1 0 5
33.5, 100.0, 0 0 6
35.2, 31.9, 0 2 0
35.4, 31.6, 2 0 0
49.1, 15.9, 1 2 5
49.5, 13.2, 0 2 6
50.8, 22.0, 2 2 0
62.1, 16.0, 1 3 4
62.3, 25.9, 3 1 4

Atomic structure:
```
data_TbY3In2S
_space_group_name_H-M_alt 'I m m m'
_space_group_IT_number 71
_space_group_name_Hall '-I 2 2'
_cell_length_a 5.074
_cell_length_b 5.095
_cell_length_c 16.001
_cell_angle_alpha 90.00
_cell_angle_beta 90.00
_cell_angle_gamma 90.00
loop_
_atom_site_label
_atom_site_type_symbol
_atom_site_fract_x
_atom_site_fract_y
_atom_site_fract_z
Tb1 Tb 0.000 0.000 0.000
Y1 Y 0.000 0.000 0.500
Y2 Y 0.000 0.500 0.172
In1 In 0.000 0.500 0.368
S1 S 0.000 0.500 0.000
```


Diffraction record for Hf2CdRu. The powder XRD pattern is computed, not measured: it uses a cell relaxed with GGA-PBE and copper Kα.
Peak positions follow from Bragg's law for the DFT cell and can differ from measured ones.

Top 12 peaks for 10° ≤ 2θ ≤ 90°, sorted by position:
2θ/deg, I (rel.), hkl
27.7, 6.2, 1 0 0
36.9, 100.0, 1 0 2
39.6, 45.5, 1 1 0
46.2, 6.2, 1 0 3
49.0, 8.2, 0 0 4
57.2, 15.5, 2 0 0
64.8, 15.4, 1 1 4
69.7, 7.2, 1 0 5
70.0, 30.3, 2 1 2
76.5, 6.2, 1 1 5
78.6, 8.1, 2 0 4
85.2, 5.1, 2 2 0

Atomic structure:
```
data_Hf2CdRu
_space_group_name_H-M_alt 'P 4/m m m'
_space_group_IT_number 123
_space_group_name_Hall '-P 4 2'
_cell_length_a 3.222
_cell_length_b 3.222
_cell_length_c 7.430
_cell_angle_alpha 90.00
_cell_angle_beta 90.00
_cell_angle_gamma 90.00
loop_
_atom_site_label
_atom_site_type_symbol
_atom_site_fract_x
_atom_site_fract_y
_atom_site_fract_z
Hf1 Hf 0.000 0.000 0.219
Cd1 Cd 0.500 0.500 0.500
Ru1 Ru 0.500 0.500 0.000
```


Diffraction record for CeGe2Au3. The powder XRD pattern is computed, not measured: it uses a cell relaxed with GGA-PBE and copper Kα.
Peak positions follow from Bragg's law for the DFT cell and can differ from measured ones.

Top 12 peaks for 10° ≤ 2θ ≤ 90°, sorted by position:
2θ/deg, I (rel.), hkl
13.6, 24.3, 2 0 -1
32.1, 18.5, 4 0 1
32.2, 30.7, 3 1 -2
33.6, 100.0, 5 1 -1
36.2, 65.5, 1 1 2
37.5, 27.3, 4 0 -3
40.1, 46.4, 0 2 0
43.7, 17.0, 3 1 2
43.8, 14.5, 1 1 -3
43.9, 15.3, 6 0 1
56.1, 17.3, 4 2 -3
70.4, 15.5, 1 3 2

Atomic structure:
```
data_CeGe2Au3
_space_group_name_H-M_alt 'C 1 2/m 1'
_space_group_IT_number 12
_cell_length_a 16.547
_cell_length_b 4.498
_cell_length_c 7.309
_cell_angle_alpha 90.00
_cell_angle_beta 115.24
_cell_angle_gamma 90.00
loop_
_space_group_symop_operation_xyz
'x,y,z'
'-x,-y,-z'
'-x,y,-z'
'x,-y,z'
'x+1/2,y+1/2,z'
'-x+1/2,-y+1/2,-z'
'-x+1/2,y+1/2,-z'
'x+1/2,-y+1/2,z'
loop_
_atom_site_label
_atom_site_type_symbol
_atom_site_fract_x
_atom_site_fract_y
_atom_site_fract_z
Ce1 Ce 0.140 0.000 0.209
Ge1 Ge 0.009 0.500 0.836
Ge2 Ge 0.211 0.000 0.675
Au1 Au 0.057 0.000 0.721
Au2 Au 0.130 0.500 0.514
Au3 Au 0.186 0.500 0.949
```


Diffraction record for ThPaBi2. The powder XRD pattern is computed, not measured: it uses a cell relaxed with GGA-PBE and copper Kα.
Peak positions follow from Bragg's law for the DFT cell and can differ from measured ones.

Top 10 peaks for 10° ≤ 2θ ≤ 90°, sorted by position:
2θ/deg, I (rel.), hkl
32.6, 100.0, 1 1 0
46.7, 6.2, 0 0 4
46.9, 12.5, 2 0 0
58.2, 13.0, 1 1 4
58.3, 26.5, 2 1 2
68.3, 8.2, 2 0 4
68.4, 4.2, 2 2 0
77.6, 5.6, 1 0 6
77.9, 11.8, 3 1 0
86.9, 4.5, 2 2 4

Atomic structure:
```
data_ThPaBi2
_space_group_name_H-M_alt 'P 4/m m m'
_space_group_IT_number 123
_space_group_name_Hall '-P 4 2'
_cell_length_a 3.877
_cell_length_b 3.877
_cell_length_c 7.781
_cell_angle_alpha 90.00
_cell_angle_beta 90.00
_cell_angle_gamma 90.00
loop_
_atom_site_label
_atom_site_type_symbol
_atom_site_fract_x
_atom_site_fract_y
_atom_site_fract_z
Th1 Th 0.000 0.000 0.000
Pa1 Pa 0.000 0.000 0.500
Bi1 Bi 0.500 0.500 0.260
```